The following is a computed PXRD pattern of RbLa2Cl. It was derived from the GGA-PBE geometry in Alexandria, using copper Kα.
Peak positions follow from Bragg's law for the DFT cell and can differ from measured ones.

Top 10 peaks for 10 to 90 degrees two-theta, most intense first:
| d/Å | Position (°2θ) | I/Imax | (hkl) |
| --- | --- | --- | --- |
| 3.673 | 24.23 | 1000 | 2 1 1 |
| 3.004 | 29.74 | 558 | 1 1 2 |
| 1.980 | 45.82 | 303 | 4 0 2 |
| 2.526 | 35.53 | 289 | 3 2 1 |
| 3.113 | 28.67 | 283 | 3 1 0 |
| 3.481 | 25.59 | 228 | 2 2 0 |
| 2.944 | 30.36 | 218 | 3 0 1 |
| 2.201 | 41.00 | 178 | 4 2 0 |
| 1.722 | 53.18 | 156 | 3 2 3 |
| 1.888 | 48.19 | 150 | 4 3 1 |

Structural model:
Cell: 9.845 9.845 6.659 Å, 90.00 90.00 90.00°
Space group I-42d (No. 122)
Unique sites:
Rb 0.000 0.000 0.000 [4 per cell]
La 0.142 0.250 0.625 [8 per cell]
Cl 0.000 0.000 0.500 [4 per cell]